Record 1
Starting from a structure optimized by DFT (PBE), the powder XRD pattern of Ba8Tl2Pd was computed for copper Kα.

Cell and atoms:
```
data_Ba8Tl2Pd
_cell_length_a 21.228
_cell_length_b 6.014
_cell_length_c 8.153
_cell_angle_alpha 90.00
_cell_angle_beta 106.76
_cell_angle_gamma 90.00
_space_group_name_H-M_alt 'C 1 2/m 1'
_space_group_IT_number 12
loop_
_space_group_symop_operation_xyz
'x,y,z'
'-x,-y,-z'
'-x,y,-z'
'x,-y,z'
'x+1/2,y+1/2,z'
'-x+1/2,-y+1/2,-z'
'-x+1/2,y+1/2,-z'
'x+1/2,-y+1/2,z'
loop_
_atom_site_label
_atom_site_type_symbol
_atom_site_fract_x
_atom_site_fract_y
_atom_site_fract_z
Ba1 Ba 0.030 0.000 0.301
Ba2 Ba 0.093 0.500 0.916
Ba3 Ba 0.155 0.500 0.456
Ba4 Ba 0.210 0.000 0.801
Tl1 Tl 0.184 0.000 0.212
Pd1 Pd 0.000 0.500 0.500
```

Largest 6 diffraction maxima, in order of rising 2θ, 2θ from 15° to 90°:
2θ 24.66, intensity 45
2θ 26.47, intensity 100
2θ 27.23, intensity 40
2θ 28.64, intensity 76
2θ 29.71, intensity 90
2θ 30.64, intensity 68

Record 2
Starting from a structure optimized by DFT (PBE), the powder XRD pattern of Ba6Tl5Pd was computed for copper Kα.

Cell and atoms:
```
data_Ba6Tl5Pd
_cell_length_a 18.921
_cell_length_b 8.488
_cell_length_c 5.933
_cell_angle_alpha 90.00
_cell_angle_beta 108.23
_cell_angle_gamma 90.00
_space_group_name_H-M_alt 'C 1 2/m 1'
_space_group_IT_number 12
loop_
_space_group_symop_operation_xyz
'x,y,z'
'-x,-y,-z'
'-x,y,-z'
'x,-y,z'
'x+1/2,y+1/2,z'
'-x+1/2,-y+1/2,-z'
'-x+1/2,y+1/2,-z'
'x+1/2,-y+1/2,z'
loop_
_atom_site_label
_atom_site_type_symbol
_atom_site_fract_x
_atom_site_fract_y
_atom_site_fract_z
Ba1 Ba 0.000 0.233 0.000
Ba2 Ba 0.155 0.237 0.655
Tl1 Tl 0.000 0.500 0.500
Tl2 Tl 0.173 0.500 0.173
Tl3 Tl 0.184 0.000 0.184
Pd1 Pd 0.000 0.000 0.500
```

Largest 6 diffraction maxima, in order of rising 2θ, 2θ from 15° to 90°:
2θ 29.87, intensity 100
2θ 30.12, intensity 21
2θ 42.60, intensity 8
2θ 42.91, intensity 14
2θ 53.01, intensity 20
2θ 53.34, intensity 16